(1)
The following is a calculated X-ray powder pattern of Dy3Tm2Sb2. It was derived from a PBE-relaxed structure, using Cu Kα, 1.54184 Å.
Neutral-atom scattering factors, no anomalous dispersion.

Cell and atoms:
```
data_Dy3Tm2Sb2
_chemical_formula_sum 'Dy6 Tm4 Sb4'
_cell_length_a 12.107
_cell_length_b 4.212
_cell_length_c 8.378
_cell_angle_alpha 90.00
_cell_angle_beta 108.31
_cell_angle_gamma 90.00
_symmetry_space_group_name_H-M 'C 1 2/m 1'
_symmetry_Int_Tables_number 12
loop_
_symmetry_equiv_pos_as_xyz
'x,y,z'
'-x,-y,-z'
'-x,y,-z'
'x,-y,z'
'x+1/2,y+1/2,z'
'-x+1/2,-y+1/2,-z'
'-x+1/2,y+1/2,-z'
'x+1/2,-y+1/2,z'
loop_
_atom_site_label
_atom_site_type_symbol
_atom_site_fract_x
_atom_site_fract_y
_atom_site_fract_z
Dy1 Dy 0.000 0.000 0.000
Dy2 Dy 0.125 0.000 0.445
Tm1 Tm 0.130 0.500 0.780
Sb1 Sb 0.177 0.500 0.190
```

Largest 10 diffraction maxima, most intense first, 15° ≤ 2θ ≤ 90°:
2θ (°)	I/Imax	h k l
30.9	100.0	3 1 -1
33.6	77.9	1 1 2
32.4	38.3	2 0 -3
31.1	37.9	4 0 0
42.9	32.5	0 2 0
30.1	27.1	1 1 -2
31.6	24.9	3 1 0
34.3	23.0	3 1 -2
57.9	21.1	0 0 5
54.0	20.0	4 2 0

=====

(2)
The following is a calculated X-ray powder pattern of Dy3USb4. It was derived from a PBE-relaxed structure, using Cu Kα, 1.54184 Å.
Neutral-atom scattering factors, no anomalous dispersion.

Cell and atoms:
```
data_Dy3USb4
_chemical_formula_sum 'Dy6 U2 Sb8'
_cell_length_a 8.813
_cell_length_b 12.375
_cell_length_c 4.363
_cell_angle_alpha 90.00
_cell_angle_beta 90.00
_cell_angle_gamma 90.00
_symmetry_space_group_name_H-M 'C m m m'
_symmetry_Int_Tables_number 65
_symmetry_space_group_name_Hall '-C 2 2'
loop_
_atom_site_label
_atom_site_type_symbol
_atom_site_fract_x
_atom_site_fract_y
_atom_site_fract_z
Dy1 Dy 0.000 0.000 0.000
Dy2 Dy 0.250 0.250 0.500
U1 U 0.000 0.500 0.000
Sb1 Sb 0.000 0.251 0.000
Sb2 Sb 0.249 0.000 0.500
```

Largest 10 diffraction maxima, most intense first, 15° ≤ 2θ ≤ 90°:
2θ (°)	I/Imax	h k l
28.8	100.0	2 0 1
41.2	50.9	2 4 1
67.6	23.6	4 4 2
50.9	13.8	4 4 0
51.2	13.5	0 4 2
75.4	13.0	2 4 3
41.0	13.0	4 0 0
41.4	12.6	0 0 2
74.8	8.9	6 4 1
59.6	8.6	4 0 2

=====

(3)
The following is a calculated X-ray powder pattern of Dy2ZrSb2. It was derived from a PBE-relaxed structure, using Cu Kα, 1.54184 Å.
Neutral-atom scattering factors, no anomalous dispersion.

Cell and atoms:
```
data_Dy2ZrSb2
_chemical_formula_sum 'Dy8 Zr4 Sb8'
_cell_length_a 7.997
_cell_length_b 11.794
_cell_length_c 6.119
_cell_angle_alpha 90.00
_cell_angle_beta 90.00
_cell_angle_gamma 90.00
_symmetry_space_group_name_H-M 'I b a m'
_symmetry_Int_Tables_number 72
_symmetry_space_group_name_Hall '-I 2 2c'
loop_
_atom_site_label
_atom_site_type_symbol
_atom_site_fract_x
_atom_site_fract_y
_atom_site_fract_z
Dy1 Dy 0.156 0.149 0.000
Zr1 Zr 0.000 0.500 0.250
Sb1 Sb 0.222 0.107 0.500
```

Largest 10 diffraction maxima, most intense first, 15° ≤ 2θ ≤ 90°:
2θ (°)	I/Imax	h k l
42.6	100.0	0 4 2
25.2	97.8	1 3 0
29.2	93.4	0 0 2
37.0	88.1	2 0 2
34.5	76.4	3 1 0
32.2	70.7	1 1 2
51.0	70.7	3 3 2
27.7	67.9	2 1 1
37.9	66.6	2 4 0
35.6	65.9	1 4 1

=====

(4)
The following is a calculated X-ray powder pattern of Dy2ZrSb4. It was derived from a PBE-relaxed structure, using Cu Kα, 1.54184 Å.
Neutral-atom scattering factors, no anomalous dispersion.

Cell and atoms:
```
data_Dy2ZrSb4
_chemical_formula_sum 'Dy2 Zr1 Sb4'
_cell_length_a 4.279
_cell_length_b 4.279
_cell_length_c 10.939
_cell_angle_alpha 90.00
_cell_angle_beta 90.00
_cell_angle_gamma 90.00
_symmetry_space_group_name_H-M 'P -4 m 2'
_symmetry_Int_Tables_number 115
loop_
_symmetry_equiv_pos_as_xyz
'x,y,z'
'y,-x,-z'
'-x,-y,z'
'-y,x,-z'
'-x,y,z'
'-y,-x,-z'
'x,-y,z'
'y,x,-z'
loop_
_atom_site_label
_atom_site_type_symbol
_atom_site_fract_x
_atom_site_fract_y
_atom_site_fract_z
Dy1 Dy 0.000 0.500 0.219
Zr1 Zr 0.000 0.000 0.500
Sb1 Sb 0.000 0.000 0.000
Sb2 Sb 0.000 0.500 0.675
Sb3 Sb 0.500 0.500 0.000
```

Largest 10 diffraction maxima, most intense first, 15° ≤ 2θ ≤ 90°:
2θ (°)	I/Imax	h k l
33.9	100.0	1 1 2
42.2	36.4	2 0 0
26.4	34.8	1 0 2
39.1	24.0	1 0 4
71.9	22.0	3 1 2
58.9	14.3	2 1 4
61.3	11.9	2 2 0
32.3	11.9	1 0 3
50.5	11.6	2 1 2
32.7	10.9	0 0 4

=====

(5)
The following is a calculated X-ray powder pattern of Dy13Sc3. It was derived from a PBE-relaxed structure, using Cu Kα, 1.54184 Å.
Neutral-atom scattering factors, no anomalous dispersion.

Cell and atoms:
```
data_Dy13Sc3
_chemical_formula_sum 'Dy26 Sc6'
_cell_length_a 7.142
_cell_length_b 11.081
_cell_length_c 12.329
_cell_angle_alpha 90.00
_cell_angle_beta 90.00
_cell_angle_gamma 90.00
_symmetry_space_group_name_H-M 'A m m 2'
_symmetry_Int_Tables_number 38
loop_
_symmetry_equiv_pos_as_xyz
'x,y,z'
'-x,-y,z'
'-x,y,z'
'x,-y,z'
'x,y+1/2,z+1/2'
'-x,-y+1/2,z+1/2'
'-x,y+1/2,z+1/2'
'x,-y+1/2,z+1/2'
loop_
_atom_site_label
_atom_site_type_symbol
_atom_site_fract_x
_atom_site_fract_y
_atom_site_fract_z
Dy1 Dy 0.000 0.000 0.000
Dy2 Dy 0.000 0.000 0.504
Dy3 Dy 0.000 0.243 0.671
Dy4 Dy 0.251 0.000 0.250
Dy5 Dy 0.252 0.245 0.919
Dy6 Dy 0.500 0.000 0.504
Dy7 Dy 0.500 0.247 0.669
Sc1 Sc 0.253 0.000 0.755
Sc2 Sc 0.500 0.000 0.997
```

Largest 10 diffraction maxima, most intense first, 15° ≤ 2θ ≤ 90°:
2θ (°)	I/Imax	h k l
33.2	100.0	2 2 2
28.9	25.6	0 0 4
32.3	23.6	0 4 0
58.2	19.6	2 6 2
43.9	16.4	0 4 4
61.9	14.9	2 4 6
51.3	13.7	2 0 6
62.4	10.6	4 2 4
61.8	7.3	4 4 0
51.2	6.6	4 0 0

=====

(6)
The following is a calculated X-ray powder pattern of DySc7. It was derived from a PBE-relaxed structure, using Cu Kα, 1.54184 Å.
Neutral-atom scattering factors, no anomalous dispersion.

Cell and atoms:
```
data_DySc7
_chemical_formula_sum 'Dy2 Sc14'
_cell_length_a 3.263
_cell_length_b 10.271
_cell_length_c 12.077
_cell_angle_alpha 90.00
_cell_angle_beta 90.00
_cell_angle_gamma 90.00
_symmetry_space_group_name_H-M 'I m m m'
_symmetry_Int_Tables_number 71
_symmetry_space_group_name_Hall '-I 2 2'
loop_
_atom_site_label
_atom_site_type_symbol
_atom_site_fract_x
_atom_site_fract_y
_atom_site_fract_z
Dy1 Dy 0.000 0.000 0.000
Sc1 Sc 0.000 0.230 0.366
Sc2 Sc 0.000 0.500 0.000
Sc3 Sc 0.000 0.500 0.254
```

Largest 10 diffraction maxima, most intense first, 15° ≤ 2θ ≤ 90°:
2θ (°)	I/Imax	h k l
33.4	100.0	1 2 1
34.5	98.3	0 2 4
35.4	53.6	1 0 3
34.9	44.4	0 4 0
32.4	43.7	1 1 2
50.6	33.5	1 4 3
41.0	24.8	1 3 2
67.8	24.5	2 2 4
63.6	24.1	1 2 7
22.7	23.1	0 2 2

=====

(7)
The following is a calculated X-ray powder pattern of Dy7Sc. It was derived from a PBE-relaxed structure, using Cu Kα, 1.54184 Å.
Neutral-atom scattering factors, no anomalous dispersion.

Cell and atoms:
```
data_Dy7Sc
_chemical_formula_sum 'Dy14 Sc2'
_cell_length_a 3.484
_cell_length_b 11.044
_cell_length_c 12.772
_cell_angle_alpha 90.00
_cell_angle_beta 90.00
_cell_angle_gamma 90.00
_symmetry_space_group_name_H-M 'I m m m'
_symmetry_Int_Tables_number 71
_symmetry_space_group_name_Hall '-I 2 2'
loop_
_atom_site_label
_atom_site_type_symbol
_atom_site_fract_x
_atom_site_fract_y
_atom_site_fract_z
Dy1 Dy 0.000 0.000 0.000
Dy2 Dy 0.000 0.000 0.264
Dy3 Dy 0.000 0.266 0.369
Sc1 Sc 0.000 0.500 0.000
```

Largest 10 diffraction maxima, most intense first, 15° ≤ 2θ ≤ 90°:
2θ (°)	I/Imax	h k l
32.4	100.0	0 2 4
31.1	42.8	1 2 1
33.2	30.8	1 0 3
63.1	29.5	2 2 4
47.1	23.8	1 4 3
35.5	17.4	1 3 0
57.8	16.9	0 0 8
59.6	16.1	1 2 7
39.1	14.7	1 1 4
81.9	12.2	2 0 8

=====

(8)
The following is a calculated X-ray powder pattern of Dy7Sc5. It was derived from a PBE-relaxed structure, using Cu Kα, 1.54184 Å.
Neutral-atom scattering factors, no anomalous dispersion.

Cell and atoms:
```
data_Dy7Sc5
_chemical_formula_sum 'Dy14 Sc10'
_cell_length_a 14.512
_cell_length_b 4.840
_cell_length_c 10.844
_cell_angle_alpha 90.00
_cell_angle_beta 116.52
_cell_angle_gamma 90.00
_symmetry_space_group_name_H-M 'C 1 m 1'
_symmetry_Int_Tables_number 8
loop_
_symmetry_equiv_pos_as_xyz
'x,y,z'
'x,-y,z'
'x+1/2,y+1/2,z'
'x+1/2,-y+1/2,z'
loop_
_atom_site_label
_atom_site_type_symbol
_atom_site_fract_x
_atom_site_fract_y
_atom_site_fract_z
Dy1 Dy 0.000 0.000 0.000
Dy2 Dy 0.002 0.500 0.493
Dy3 Dy 0.091 0.000 0.755
Dy4 Dy 0.166 0.000 0.492
Dy5 Dy 0.250 0.000 0.240
Dy6 Dy 0.334 0.500 0.495
Dy7 Dy 0.417 0.000 0.751
Sc1 Sc 0.079 0.500 0.239
Sc2 Sc 0.173 0.500 0.000
Sc3 Sc 0.253 0.500 0.754
Sc4 Sc 0.335 0.000 0.000
Sc5 Sc 0.417 0.500 0.241
```

Largest 10 diffraction maxima, most intense first, 15° ≤ 2θ ≤ 90°:
2θ (°)	I/Imax	h k l
32.0	100.0	3 1 1
53.5	34.2	6 2 -2
37.1	33.4	0 2 0
63.8	26.7	3 3 1
37.2	16.6	6 0 -2
63.6	13.1	3 1 5
66.9	11.4	6 2 -6
87.8	11.0	3 3 5
27.6	8.9	0 0 3
19.6	8.8	1 1 0